# LiFe5O4F8
Theoretical X-ray powder pattern, Cu Kα (weighted mean of Kα1 and Kα2). Input: a PBE+U-relaxed structure.
Intensities are scaled so that the largest is 100.

Top 8 peaks for 10 to 90 degrees two-theta, sorted by position:
26.1°, rel. 100, hkl 0 2 0; 27.6°, rel. 98, hkl 2 0 0; 35.0°, rel. 90, hkl 1 1 3; 40.6°, rel. 37, hkl 2 0 3; 52.0°, rel. 69, hkl 1 3 3; 53.6°, rel. 85, hkl 0 4 0; 60.5°, rel. 19, hkl 0 0 6; 67.1°, rel. 49, hkl 3 3 3

Structure:
a = 6.4735 Å, b = 6.8380 Å, c = 9.1821 Å
α = 90.00°, β = 90.00°, γ = 90.00°
Space group Cmmm (No. 65)
Asymmetric unit:
Li (0.0000, 0.0000, 0.0000) x2
Fe (0.0000, 0.0000, 0.3229) x4
Fe (0.0000, 0.5000, 0.1776) x4
Fe (0.0000, 0.5000, 0.5000) x2
O (0.2015, 0.5000, 0.3330) x8
F (0.0000, 0.1914, 0.5000) x4
F (0.0000, 0.1998, 0.1631) x8
F (0.1917, 0.5000, 0.0000) x4